Starting from the PBE geometry in Alexandria, the XRD peak list of Tb3GaSe6 was computed for a wavelength of 1.5418 Å.
Lines closer than 0.1° are merged.

The 6 most intense peaks (2θ = 10–90°), by angle:
(hkl), 2θ (°), d_spacing, intensity
2 2 1, 24.17, 3.682, 100.0
1 3 1, 24.47, 3.637, 56.6
3 3 1, 33.39, 2.684, 85.3
3 1 2, 36.26, 2.477, 80.9
0 4 2, 36.90, 2.436, 59.7
3 5 0, 40.23, 2.242, 60.2

Structure:
Lattice parameters (Å, degrees): 11.2464 13.9847 6.7940 90.00 90.00 90.00
Space group Cmc2_1 (No. 36)
One atom of each set of equivalent atoms:
Tb (0.0000, 0.0965, 0.0000) [4 per cell]
Tb (0.1837, 0.4022, 0.8999) [8 per cell]
Ga (0.0000, 0.2980, 0.3647) [4 per cell]
Se (0.0000, 0.2812, 0.7207) [4 per cell]
Se (0.0000, 0.4607, 0.2173) [4 per cell]
Se (0.1627, 0.0334, 0.7013) [8 per cell]
Se (0.1681, 0.2326, 0.1822) [8 per cell]